For Pr2GdO3, the GGA-PBE geometry in OQMD gives the calculated powder XRD pattern in this record (Cu Kα, 1.54184 Å).
No peak broadening, texture or thermal motion is included.

Cell and atoms:
```
Pr2GdO3
1.0
3.515 0.000 0.000
-1.757 3.044 0.000
0.000 0.000 8.762
Pr Gd O
2 1 3
direct
0.333 0.667 0.170
0.667 0.333 0.830
0.000 0.000 0.500
0.000 0.000 0.000
0.333 0.667 0.643
0.667 0.333 0.357
```

Peak list (8 most intense, 5 to 70 degrees two-theta, by angle)
two_theta  I/Imax
30.61  327
31.10  929
35.92  1000
51.39  344
52.04  339
61.01  151
61.59  284
64.85  170



For DyCd12, the GGA-PBE geometry in OQMD gives the calculated powder XRD pattern in this record (Cu Kα, 1.54184 Å).
No peak broadening, texture or thermal motion is included.

Cell and atoms:
```
DyCd12
1.0
-4.929 4.929 2.885
4.929 -4.929 2.885
4.929 4.929 -2.885
Dy Cd
1 12
direct
0.000 0.000 0.000
0.000 0.000 0.500
0.000 0.351 0.351
0.000 0.500 0.000
0.000 0.649 0.649
0.290 0.500 0.790
0.351 0.000 0.351
0.500 0.000 0.000
0.500 0.290 0.790
0.500 0.500 0.500
0.500 0.710 0.210
0.649 0.000 0.649
0.710 0.500 0.210
```

Peak list (8 most intense, 5 to 70 degrees two-theta, by angle)
two_theta  I/Imax
31.33  304
36.07  478
36.40  1000
40.59  366
40.91  327
58.69  152
65.36  187
65.55  129



For Ta4Ni3Mo2C3, the GGA-PBE geometry in OQMD gives the calculated powder XRD pattern in this record (Cu Kα, 1.54184 Å).
No peak broadening, texture or thermal motion is included.

Cell and atoms:
```
Ta4Ni3Mo2C3
1.0
4.584 -2.599 0.000
4.584 2.599 0.000
-3.137 0.000 13.138
Ta Ni Mo C
8 6 4 6
direct
0.023 0.203 0.090
0.137 0.303 0.409
0.203 0.023 0.590
0.303 0.137 0.909
0.697 0.863 0.091
0.797 0.977 0.410
0.863 0.697 0.591
0.977 0.797 0.910
0.093 0.907 0.750
0.098 0.409 0.749
0.409 0.098 0.249
0.591 0.902 0.751
0.902 0.591 0.251
0.907 0.093 0.250
0.386 0.541 0.121
0.459 0.614 0.379
0.541 0.386 0.621
0.614 0.459 0.879
0.000 0.500 0.000
0.186 0.656 0.499
0.344 0.814 0.001
0.500 0.000 0.500
0.656 0.186 0.999
0.814 0.344 0.501
```

Peak list (8 most intense, 5 to 70 degrees two-theta, by angle)
two_theta  I/Imax
27.15  381
34.03  375
34.73  669
35.20  327
39.84  1000
40.03  916
40.35  966
41.23  540



For HgAu7, the GGA-PBE geometry in OQMD gives the calculated powder XRD pattern in this record (Cu Kα, 1.54184 Å).
No peak broadening, texture or thermal motion is included.

Cell and atoms:
```
HgAu7
1.0
2.881 0.000 0.000
0.000 3.921 0.000
0.000 0.000 34.329
Hg Au
2 14
direct
0.250 0.250 0.145
0.750 0.750 0.855
0.250 0.250 0.247
0.250 0.250 0.339
0.250 0.250 0.431
0.250 0.250 0.523
0.250 0.250 0.615
0.250 0.250 0.707
0.250 0.250 0.800
0.750 0.750 0.200
0.750 0.750 0.293
0.750 0.750 0.385
0.750 0.750 0.477
0.750 0.750 0.569
0.750 0.750 0.661
0.750 0.750 0.753
```

Peak list (8 most intense, 5 to 70 degrees two-theta, by angle)
two_theta  I/Imax
5.15  1000
34.73  208
36.81  539
38.80  644
40.89  134
42.71  359
46.32  196
64.82  211



For CdPO3, the GGA-PBE geometry in OQMD gives the calculated powder XRD pattern in this record (Cu Kα, 1.54184 Å).
No peak broadening, texture or thermal motion is included.

Cell and atoms:
```
CdPO3
1.0
2.661 1.536 5.356
-2.661 1.536 5.356
0.000 -3.072 5.356
Cd P O
2 2 6
direct
0.166 0.166 0.166
0.834 0.834 0.834
0.434 0.434 0.434
0.566 0.566 0.566
0.128 0.412 0.698
0.302 0.872 0.588
0.412 0.698 0.128
0.588 0.302 0.872
0.698 0.128 0.412
0.872 0.588 0.302
```

Peak list (8 most intense, 5 to 70 degrees two-theta, by angle)
two_theta  I/Imax
16.55  1000
29.50  221
33.68  532
34.01  218
37.75  897
48.21  309
60.24  189
62.94  161



For ZrGaB4, the GGA-PBE geometry in OQMD gives the calculated powder XRD pattern in this record (Cu Kα, 1.54184 Å).
No peak broadening, texture or thermal motion is included.

Cell and atoms:
```
ZrGaB4
1.0
-1.555 2.588 3.757
1.555 -2.588 3.757
1.555 2.588 -3.757
Zr Ga B
1 1 4
direct
0.000 0.000 0.000
0.500 0.500 0.000
0.076 0.745 0.331
0.414 0.745 0.669
0.586 0.255 0.331
0.924 0.255 0.669
```

Peak list (8 most intense, 5 to 70 degrees two-theta, by angle)
two_theta  I/Imax
23.68  571
33.62  627
34.66  285
41.54  1000
42.41  476
48.46  182
60.27  232
61.45  172



For ZnGe, the GGA-PBE geometry in OQMD gives the calculated powder XRD pattern in this record (Cu Kα, 1.54184 Å).
No peak broadening, texture or thermal motion is included.

Cell and atoms:
```
ZnGe
1.0
4.862 0.000 0.000
0.000 9.328 0.000
0.000 0.000 4.657
Zn Ge
6 6
direct
0.000 0.073 0.000
0.000 0.427 0.027
0.000 0.573 0.527
0.000 0.927 0.500
0.500 0.075 0.696
0.500 0.925 0.196
0.000 0.236 0.502
0.000 0.764 0.002
0.500 0.228 0.193
0.500 0.416 0.735
0.500 0.584 0.235
0.500 0.772 0.693
```

Peak list (8 most intense, 5 to 70 degrees two-theta, by angle)
two_theta  I/Imax
34.69  375
36.98  490
39.47  1000
43.07  549
51.60  235
59.45  93
67.43  123
68.30  186



For YTmS4, the GGA-PBE geometry in OQMD gives the calculated powder XRD pattern in this record (Cu Kα, 1.54184 Å).
No peak broadening, texture or thermal motion is included.

Cell and atoms:
```
YTmS4
1.0
4.733 -2.055 0.000
4.733 2.055 0.000
-3.003 0.000 7.639
Y Tm S
1 1 4
direct
0.000 0.000 0.000
0.482 0.482 0.443
0.154 0.154 0.350
0.304 0.304 0.077
0.349 0.349 0.840
0.987 0.987 0.645
```

Peak list (8 most intense, 5 to 70 degrees two-theta, by angle)
two_theta  I/Imax
20.16  986
23.29  615
24.64  411
24.92  1000
28.23  442
35.88  676
39.66  602
42.89  459



For AlW14, the GGA-PBE geometry in OQMD gives the calculated powder XRD pattern in this record (Cu Kα, 1.54184 Å).
No peak broadening, texture or thermal motion is included.

Cell and atoms:
```
AlW14
1.0
9.762 0.000 0.000
0.000 9.762 0.000
0.000 0.000 5.107
Al W
2 28
direct
0.000 0.000 0.000
0.500 0.500 0.500
0.038 0.372 0.500
0.065 0.258 0.000
0.103 0.103 0.500
0.128 0.538 0.000
0.181 0.819 0.250
0.181 0.819 0.750
0.242 0.565 0.500
0.258 0.065 0.000
0.319 0.319 0.250
0.319 0.319 0.750
0.372 0.038 0.500
0.397 0.603 0.000
0.435 0.758 0.500
0.462 0.872 0.000
0.538 0.128 0.000
0.565 0.242 0.500
0.603 0.397 0.000
0.628 0.962 0.500
0.681 0.681 0.250
0.681 0.681 0.750
0.742 0.935 0.000
0.758 0.435 0.500
0.819 0.181 0.250
0.819 0.181 0.750
0.872 0.462 0.000
0.897 0.897 0.500
0.935 0.742 0.000
0.962 0.628 0.500
```

Peak list (8 most intense, 5 to 70 degrees two-theta, by angle)
two_theta  I/Imax
38.01  1000
39.15  348
39.84  289
40.94  857
42.07  962
43.12  634
44.12  208
67.82  304



For Zn2Sn2SbN3, the GGA-PBE geometry in OQMD gives the calculated powder XRD pattern in this record (Cu Kα, 1.54184 Å).
No peak broadening, texture or thermal motion is included.

Cell and atoms:
```
Zn2Sn2SbN3
1.0
5.674 -2.608 0.000
5.674 2.608 0.000
-2.438 0.000 4.674
Zn Sn Sb N
2 2 1 3
direct
0.150 0.150 0.346
0.850 0.850 0.654
0.285 0.443 0.081
0.557 0.715 0.919
0.758 0.242 0.500
0.200 0.800 0.000
0.455 0.044 0.754
0.956 0.545 0.246
```

Peak list (8 most intense, 5 to 70 degrees two-theta, by angle)
two_theta  I/Imax
29.93  1000
31.64  128
31.72  128
39.34  181
39.58  147
49.14  155
50.40  152
60.65  112



For Gd3Tl5Pb2, the GGA-PBE geometry in OQMD gives the calculated powder XRD pattern in this record (Cu Kα, 1.54184 Å).
No peak broadening, texture or thermal motion is included.

Cell and atoms:
```
Gd3Tl5Pb2
1.0
2.327 -12.687 0.000
2.327 12.687 0.000
0.000 0.000 4.690
Gd Tl Pb
3 5 2
direct
0.000 0.000 0.000
0.189 0.811 0.000
0.811 0.189 0.000
0.097 0.903 0.500
0.404 0.596 0.000
0.500 0.500 0.500
0.596 0.404 0.000
0.903 0.097 0.500
0.296 0.704 0.500
0.704 0.296 0.500
```

Peak list (8 most intense, 5 to 70 degrees two-theta, by angle)
two_theta  I/Imax
32.34  1000
35.38  180
38.39  163
38.70  160
53.19  114
61.60  127
65.63  139
66.05  132



For Sc2NiBi2Pt, the GGA-PBE geometry in OQMD gives the calculated powder XRD pattern in this record (Cu Kα, 1.54184 Å).
No peak broadening, texture or thermal motion is included.

Cell and atoms:
```
Sc2NiBi2Pt
1.0
7.853 0.000 0.000
0.000 4.524 0.000
-2.574 0.000 14.792
Sc Ni Bi Pt
8 4 8 4
direct
0.000 0.000 0.000
0.001 0.500 0.502
0.249 0.000 0.749
0.253 0.500 0.257
0.497 0.000 0.502
0.500 0.500 0.001
0.749 0.500 0.750
0.750 0.000 0.258
0.313 0.000 0.938
0.313 0.500 0.442
0.560 0.000 0.687
0.812 0.000 0.441
0.127 0.000 0.385
0.138 0.500 0.880
0.373 0.000 0.121
0.385 0.500 0.625
0.611 0.000 0.871
0.627 0.500 0.385
0.861 0.000 0.623
0.875 0.500 0.128
0.062 0.500 0.688
0.065 0.000 0.193
0.562 0.500 0.193
0.812 0.500 0.937
```

Peak list (8 most intense, 5 to 70 degrees two-theta, by angle)
two_theta  I/Imax
24.07  717
27.86  134
39.81  1000
46.98  122
47.10  250
57.43  55
57.63  113
63.28  127